This entry pairs a crystal structure of PaMn2NbO8 with its simulated powder XRD pattern. Radiation: Cu Kα (weighted mean of Kα1 and Kα2). Structure: a PBE+U-relaxed structure.

Structural model:
```
data_PaMn2NbO8
_cell_length_a 6.744
_cell_length_b 6.744
_cell_length_c 6.798
_cell_angle_alpha 90.00
_cell_angle_beta 90.00
_cell_angle_gamma 90.00
_space_group_name_H-M_alt 'I -4 m 2'
_space_group_IT_number 119
_space_group_name_Hall 'I -4 -2'
loop_
_atom_site_label
_atom_site_fract_x
_atom_site_fract_y
_atom_site_fract_z
Pa1 0.000 0.000 0.000
Mn1 0.000 0.000 0.500
Mn2 0.000 0.500 0.250
Nb1 0.000 0.500 0.750
O1 0.000 0.201 0.702
O2 0.000 0.322 0.035
```

Top 10 peaks for 2θ from 10° to 90°, in order of rising 2θ:
- (1 0 1), 18.5°, rel. 86
- (2 0 0), 26.4°, rel. 100
- (1 1 2), 32.3°, rel. 87
- (2 1 1), 32.5°, rel. 22
- (2 2 0), 37.7°, rel. 22
- (3 0 1), 42.4°, rel. 22
- (3 1 2), 50.5°, rel. 82
- (4 0 0), 54.4°, rel. 16
- (2 0 4), 61.1°, rel. 18
- (3 3 2), 64.7°, rel. 20